# 1
Starting from the GGA-PBE geometry in Alexandria, the powder XRD pattern of Zr6C2NO3 was computed for λ = 1.5418 Å (Cu Kα).
No peak broadening, texture or thermal motion is included.

Structural model:
```
Zr6C2NO3
1.0
2.8499 -4.9316 0.0000
2.8499 4.9316 0.0000
-1.9094 0.0000 5.4447
Zr C N O
6 2 1 3
Direct
0.0884 0.4234 0.7712
0.2418 0.2418 0.2285
0.4234 0.0884 0.7712
0.5766 0.9116 0.2288
0.7582 0.7582 0.7715
0.9116 0.5766 0.2288
0.1665 0.8335 0.0000
0.8335 0.1665 0.0000
0.5000 0.5000 0.0000
0.0000 0.0000 0.5000
0.3309 0.6691 0.5000
0.6691 0.3309 0.5000
```

Most intense lines, 10° ≤ 2θ ≤ 90°, most intense first:
d = 2.336 Å, rel. 100
d = 2.690 Å, rel. 83
d = 1.645 Å, rel. 32
d = 1.660 Å, rel. 30
d = 2.722 Å, rel. 27
d = 1.408 Å, rel. 22
d = 1.345 Å, rel. 15
d = 1.403 Å, rel. 11
d = 1.416 Å, rel. 6
d = 1.167 Å, rel. 6

# 2
Starting from the GGA-PBE geometry in Alexandria, the powder XRD pattern of Pr3Re2N7 was computed for λ = 1.5418 Å (Cu Kα).
No peak broadening, texture or thermal motion is included.

Structural model:
```
Pr3Re2N7
1.0
1.9948 -10.4656 0.0000
1.9948 10.4656 0.0000
0.0000 0.0000 3.8688
Pr Re N
3 2 7
Direct
0.0000 0.0000 0.0000
0.1796 0.8204 0.0000
0.8204 0.1796 0.0000
0.4028 0.5972 0.5000
0.5972 0.4028 0.5000
0.0943 0.9057 0.5000
0.3057 0.6943 0.5000
0.4016 0.5984 0.0000
0.5000 0.5000 0.5000
0.5984 0.4016 0.0000
0.6943 0.3057 0.5000
0.9057 0.0943 0.5000
```

Most intense lines, 10° ≤ 2θ ≤ 90°, most intense first:
d = 2.753 Å, rel. 100
d = 2.888 Å, rel. 93
d = 2.591 Å, rel. 68
d = 1.570 Å, rel. 35
d = 1.607 Å, rel. 34
d = 1.581 Å, rel. 31
d = 3.111 Å, rel. 28
d = 1.995 Å, rel. 26
d = 1.934 Å, rel. 24
d = 5.233 Å, rel. 20

# 3
Starting from the GGA-PBE geometry in Alexandria, the powder XRD pattern of Tl2InHgCl6 was computed for λ = 1.5418 Å (Cu Kα).
No peak broadening, texture or thermal motion is included.

Structural model:
```
Tl2InHgCl6
1.0
3.7786 2.1816 6.2709
-3.7786 2.1816 6.2709
0.0000 -4.3631 6.2709
Tl In Hg Cl
2 1 1 6
Direct
0.0000 0.0000 0.0000
0.4981 0.4981 0.4981
0.7188 0.7188 0.7188
0.2221 0.2221 0.2221
0.0164 0.4738 0.8906
0.4146 0.9421 0.5482
0.4738 0.8906 0.0164
0.5482 0.4146 0.9421
0.8906 0.0164 0.4738
0.9421 0.5482 0.4146
```

Most intense lines, 10° ≤ 2θ ≤ 90°, most intense first:
d = 3.779 Å, rel. 100
d = 3.819 Å, rel. 98
d = 2.686 Å, rel. 70
d = 2.189 Å, rel. 49
d = 2.182 Å, rel. 31
d = 2.413 Å, rel. 27
d = 1.889 Å, rel. 24
d = 1.693 Å, rel. 20
d = 2.213 Å, rel. 17
d = 1.430 Å, rel. 16

# 4
Starting from the GGA-PBE geometry in Alexandria, the powder XRD pattern of Ba2LiSb was computed for λ = 1.5418 Å (Cu Kα).
No peak broadening, texture or thermal motion is included.

Structural model:
```
Ba2LiSb
1.0
5.7229 0.0000 0.0000
0.0000 5.7229 0.0000
0.0000 0.0000 4.6588
Ba Li Sb
2 1 1
Direct
0.0000 0.5000 0.0000
0.5000 0.0000 0.0000
0.0000 0.0000 0.5000
0.5000 0.5000 0.5000
```

Most intense lines, 10° ≤ 2θ ≤ 90°, most intense first:
d = 3.055 Å, rel. 100
d = 2.861 Å, rel. 42
d = 1.687 Å, rel. 34
d = 1.807 Å, rel. 24
d = 5.723 Å, rel. 20
d = 2.023 Å, rel. 15
d = 3.613 Å, rel. 14
d = 4.047 Å, rel. 12
d = 1.528 Å, rel. 12
d = 2.329 Å, rel. 12

# 5
Starting from the GGA-PBE geometry in Alexandria, the powder XRD pattern of RbNaHg was computed for λ = 1.5418 Å (Cu Kα).
No peak broadening, texture or thermal motion is included.

Structural model:
```
RbNaHg
1.0
4.8166 0.0000 0.0000
0.0000 7.4396 0.0000
0.0000 0.0000 14.4202
Rb Na Hg
4 4 4
Direct
0.0000 0.0000 0.1990
0.0000 0.0000 0.8010
0.5000 0.5000 0.3010
0.5000 0.5000 0.6990
0.0000 0.2334 0.5000
0.0000 0.7666 0.5000
0.5000 0.2666 0.0000
0.5000 0.7334 0.0000
0.0000 0.5000 0.1033
0.0000 0.5000 0.8967
0.5000 0.0000 0.3967
0.5000 0.0000 0.6033
```

Most intense lines, 10° ≤ 2θ ≤ 90°, most intense first:
d = 2.690 Å, rel. 100
d = 6.612 Å, rel. 95
d = 2.885 Å, rel. 68
d = 4.568 Å, rel. 61
d = 3.720 Å, rel. 50
d = 3.527 Å, rel. 37
d = 1.881 Å, rel. 35
d = 3.402 Å, rel. 34
d = 1.794 Å, rel. 31
d = 2.021 Å, rel. 25

# 6
Starting from the GGA-PBE geometry in Alexandria, the powder XRD pattern of PaAgHgCl6 was computed for λ = 1.5418 Å (Cu Kα).
No peak broadening, texture or thermal motion is included.

Structural model:
```
PaAgHgCl6
1.0
6.7900 0.0000 0.0000
-3.3950 5.8803 0.0000
0.0000 0.0000 18.4304
Pa Ag Hg Cl
2 2 2 12
Direct
0.3333 0.6667 0.2500
0.6667 0.3333 0.7500
0.3333 0.6667 0.7500
0.6667 0.3333 0.2500
0.0000 0.0000 0.0000
0.0000 0.0000 0.5000
0.0249 0.3622 0.1680
0.0249 0.6626 0.3320
0.3374 0.3622 0.3320
0.3374 0.9751 0.1680
0.3622 0.0249 0.6680
0.3622 0.3374 0.8320
0.6378 0.6626 0.1680
0.6378 0.9751 0.3320
0.6626 0.0249 0.8320
0.6626 0.6378 0.6680
0.9751 0.3374 0.6680
0.9751 0.6378 0.8320
```

Most intense lines, 10° ≤ 2θ ≤ 90°, most intense first:
d = 4.957 Å, rel. 100
d = 2.733 Å, rel. 61
d = 3.395 Å, rel. 26
d = 1.802 Å, rel. 24
d = 1.906 Å, rel. 23
d = 2.161 Å, rel. 23
d = 2.801 Å, rel. 22
d = 2.723 Å, rel. 21
d = 4.608 Å, rel. 18
d = 1.960 Å, rel. 17